# 1
Starting from a cell relaxed with GGA-PBE, the powder XRD pattern of MgZnFe2 was computed for Cu Kα (λ = 1.5418 Å).
Kinematic intensities with the Lorentz-polarization factor, no thermal factor.

The 10 most intense peaks (10° ≤ 2θ ≤ 80°), sorted by position:
2theta  I_rel  index
13.9  45  0 0 1
29.7  7  1 0 0
41.3  100  1 0 2
42.5  56  1 1 0
44.9  9  1 1 1
52.8  17  1 0 3
57.9  4  0 0 4
61.7  23  2 0 0
74.5  10  0 0 5
77.0  28  2 1 2

Structural model:
```
data_MgZnFe2
_chemical_formula_sum 'Mg1 Zn1 Fe2'
_space_group_name_H-M_alt 'P 4 m m'
_space_group_IT_number 99
_cell_length_a 3.008
_cell_length_b 3.008
_cell_length_c 6.366
_cell_angle_alpha 90.00
_cell_angle_beta 90.00
_cell_angle_gamma 90.00
loop_
_space_group_symop_operation_xyz
'x,y,z'
'-y,x,z'
'-x,-y,z'
'y,-x,z'
'-x,y,z'
'y,x,z'
'x,-y,z'
'-y,-x,z'
loop_
_atom_site_label
_atom_site_type_symbol
_atom_site_fract_x
_atom_site_fract_y
_atom_site_fract_z
Mg1 Mg 0.000 0.000 0.000
Zn1 Zn 0.500 0.500 0.302
Fe1 Fe 0.000 0.000 0.543
Fe2 Fe 0.500 0.500 0.718
```



# 2
Starting from a cell relaxed with GGA-PBE, the powder XRD pattern of NaZnCd5 was computed for Cu Kα (λ = 1.5418 Å).
Kinematic intensities with the Lorentz-polarization factor, no thermal factor.

The 10 most intense peaks (10° ≤ 2θ ≤ 80°), sorted by position:
2theta  I_rel  index
13.8  26  0 0 1
19.8  28  0 2 0
24.3  15  0 2 1
34.5  100  0 2 2
36.8  84  2 2 0
40.3  32  0 4 0
41.9  57  2 0 2
59.5  39  2 4 2
70.3  23  2 2 4
74.5  19  4 2 2

Structural model:
```
data_NaZnCd5
_chemical_formula_sum 'Na2 Zn2 Cd10'
_space_group_name_H-M_alt 'C m m m'
_space_group_IT_number 65
_space_group_name_Hall '-C 2 2'
_cell_length_a 5.838
_cell_length_b 8.955
_cell_length_c 6.399
_cell_angle_alpha 90.00
_cell_angle_beta 90.00
_cell_angle_gamma 90.00
loop_
_atom_site_label
_atom_site_type_symbol
_atom_site_fract_x
_atom_site_fract_y
_atom_site_fract_z
Na1 Na 0.000 0.000 0.000
Zn1 Zn 0.000 0.500 0.500
Cd1 Cd 0.000 0.000 0.500
Cd2 Cd 0.250 0.250 0.250
```



# 3
Starting from a cell relaxed with GGA-PBE, the powder XRD pattern of AlCuSi was computed for Cu Kα (λ = 1.5418 Å).
Kinematic intensities with the Lorentz-polarization factor, no thermal factor.

The 10 most intense peaks (10° ≤ 2θ ≤ 80°), sorted by position:
2theta  I_rel  index
24.8  61  0 0 2
28.9  100  1 0 1
36.3  20  1 0 2
46.0  79  1 1 0
46.3  70  1 0 3
53.0  42  1 1 2
55.3  15  2 0 1
67.3  21  2 0 3
70.9  15  1 1 4
74.7  11  2 1 1

Structural model:
```
data_AlCuSi
_chemical_formula_sum 'Al2 Cu2 Si2'
_space_group_name_H-M_alt 'P 63 m c'
_space_group_IT_number 186
_space_group_name_Hall 'P 6c -2c'
_cell_length_a 3.9427
_cell_length_b 3.9427
_cell_length_c 7.1921
_cell_angle_alpha 90.00
_cell_angle_beta 90.00
_cell_angle_gamma 120.00
loop_
_atom_site_label
_atom_site_type_symbol
_atom_site_fract_x
_atom_site_fract_y
_atom_site_fract_z
Al1 Al 0.3333 0.6667 0.0000
Cu1 Cu 0.3333 0.6667 0.3400
Si1 Si 0.0000 0.0000 0.2849
```



# 4
Starting from a cell relaxed with GGA-PBE, the powder XRD pattern of Zr3Ag3O was computed for Cu Kα (λ = 1.5418 Å).
Kinematic intensities with the Lorentz-polarization factor, no thermal factor.

The 10 most intense peaks (10° ≤ 2θ ≤ 80°), sorted by position:
2theta  I_rel  index
12.2  7  1 1 1
34.9  29  4 2 2
37.1  100  3 3 3
40.6  25  4 4 0
43.2  11  4 4 2
62.7  31  6 6 0
64.1  8  5 5 5
68.4  7  8 4 2
75.2  19  9 3 3
79.1  6  10 2 2

Structural model:
abc: 12.577 12.577 12.577
angles: 90.00 90.00 90.00
Space group Fd-3m (No. 227, origin choice 2)
One atom of each set of equivalent atoms:
Zr 0.056 0.375 0.375 (multiplicity 48)
Ag 0.000 0.000 0.500 (multiplicity 16)
Ag 0.038 0.038 0.712 (multiplicity 32)
O 0.000 0.000 0.000 (multiplicity 16)



# 5
Starting from a cell relaxed with GGA-PBE, the powder XRD pattern of ScPa4S5 was computed for Cu Kα (λ = 1.5418 Å).
Kinematic intensities with the Lorentz-polarization factor, no thermal factor.

The 10 most intense peaks (10° ≤ 2θ ≤ 80°), sorted by position:
2theta  I_rel  index
14.5  12  1 1 0
19.2  11  1 0 1
28.3  98  2 1 1
32.8  100  0 0 2
47.1  74  1 3 2
55.8  16  2 1 3
55.9  32  5 0 1
58.6  26  4 2 2
75.9  13  5 0 3
78.4  22  2 6 2

Structural model:
```
data_ScPa4S5
_chemical_formula_sum 'Sc2 Pa8 S10'
_space_group_name_H-M_alt 'I 4/m'
_space_group_IT_number 87
_space_group_name_Hall '-I 4'
_cell_length_a 8.623
_cell_length_b 8.623
_cell_length_c 5.469
_cell_angle_alpha 90.00
_cell_angle_beta 90.00
_cell_angle_gamma 90.00
loop_
_atom_site_label
_atom_site_type_symbol
_atom_site_fract_x
_atom_site_fract_y
_atom_site_fract_z
Sc1 Sc 0.000 0.000 0.000
Pa1 Pa 0.098 0.302 0.500
S1 S 0.000 0.000 0.500
S2 S 0.099 0.289 0.000
```



# 6
Starting from a cell relaxed with GGA-PBE, the powder XRD pattern of PmDy6Sc2 was computed for Cu Kα (λ = 1.5418 Å).
Kinematic intensities with the Lorentz-polarization factor, no thermal factor.

The 10 most intense peaks (10° ≤ 2θ ≤ 80°), sorted by position:
2theta  I_rel  index
17.3  8  4 0 0
32.2  97  5 1 1
32.4  100  2 0 -2
46.3  35  6 4 0
53.7  8  12 0 0
57.6  18  4 4 2
57.7  31  3 3 -3
64.1  17  11 3 1
64.2  9  13 3 -1
77.1  8  5 7 1

Structural model:
```
data_PmDy6Sc2
_chemical_formula_sum 'Pm4 Dy24 Sc8'
_space_group_name_H-M_alt 'C 1 2/c 1'
_space_group_IT_number 15
_cell_length_a 21.193
_cell_length_b 9.565
_cell_length_c 5.535
_cell_angle_alpha 90.00
_cell_angle_beta 105.05
_cell_angle_gamma 90.00
loop_
_space_group_symop_operation_xyz
'x,y,z'
'-x,-y,-z'
'-x,y,-z+1/2'
'x,-y,z+1/2'
'x+1/2,y+1/2,z'
'-x+1/2,-y+1/2,-z'
'-x+1/2,y+1/2,-z+1/2'
'x+1/2,-y+1/2,z+1/2'
loop_
_atom_site_label
_atom_site_type_symbol
_atom_site_fract_x
_atom_site_fract_y
_atom_site_fract_z
Pm1 Pm 0.000 0.250 0.250
Dy1 Dy 0.088 0.083 0.836
Dy2 Dy 0.088 0.416 0.839
Dy3 Dy 0.170 0.250 0.419
Sc1 Sc 0.250 0.083 0.001
```



# 7
Starting from a cell relaxed with GGA-PBE, the powder XRD pattern of Ho4GaNi3 was computed for Cu Kα (λ = 1.5418 Å).
Kinematic intensities with the Lorentz-polarization factor, no thermal factor.

The 10 most intense peaks (10° ≤ 2θ ≤ 80°), sorted by position:
2theta  I_rel  index
26.9  39  0 1 2
33.1  100  1 1 1
34.5  24  0 0 4
35.5  42  1 0 3
40.5  19  0 1 4
41.5  44  1 1 3
42.1  28  0 2 0
49.4  18  2 0 0
56.2  23  1 2 3
68.0  15  1 0 7

Structural model:
```
data_Ho4GaNi3
_chemical_formula_sum 'Ho4 Ga1 Ni3'
_space_group_name_H-M_alt 'P m m 2'
_space_group_IT_number 25
_cell_length_a 3.691
_cell_length_b 4.292
_cell_length_c 10.407
_cell_angle_alpha 90.00
_cell_angle_beta 90.00
_cell_angle_gamma 90.00
loop_
_space_group_symop_operation_xyz
'x,y,z'
'-x,-y,z'
'-x,y,z'
'x,-y,z'
loop_
_atom_site_label
_atom_site_type_symbol
_atom_site_fract_x
_atom_site_fract_y
_atom_site_fract_z
Ho1 Ho 0.000 0.000 0.000
Ho2 Ho 0.000 0.500 0.265
Ho3 Ho 0.500 0.000 0.477
Ho4 Ho 0.500 0.500 0.776
Ga1 Ga 0.000 0.000 0.699
Ni1 Ni 0.000 0.500 0.558
Ni2 Ni 0.500 0.000 0.203
Ni3 Ni 0.500 0.500 0.060
```



# 8
Starting from a cell relaxed with GGA-PBE, the powder XRD pattern of Zr6CdCo was computed for Cu Kα (λ = 1.5418 Å).
Kinematic intensities with the Lorentz-polarization factor, no thermal factor.

The 10 most intense peaks (10° ≤ 2θ ≤ 80°), sorted by position:
2theta  I_rel  index
27.8  35  0 1 2
31.5  93  2 1 1
37.9  79  2 2 0
38.7  24  0 0 3
38.8  100  1 2 2
55.3  24  2 2 3
57.6  26  0 5 1
60.9  18  2 1 4
62.5  28  5 0 2
75.5  17  3 4 2

Structural model:
```
data_Zr6CdCo
_chemical_formula_sum 'Zr18 Cd3 Co3'
_space_group_name_H-M_alt 'R -3 m'
_space_group_IT_number 166
_space_group_name_Hall '-R 3 2"'
_cell_length_a 9.4873
_cell_length_b 9.4873
_cell_length_c 6.9855
_cell_angle_alpha 90.00
_cell_angle_beta 90.00
_cell_angle_gamma 120.00
loop_
_atom_site_label
_atom_site_type_symbol
_atom_site_fract_x
_atom_site_fract_y
_atom_site_fract_z
Zr1 Zr 0.0559 0.5280 0.3064
Cd1 Cd 0.0000 0.0000 0.0000
Co1 Co 0.0000 0.0000 0.5000
```